Structure and simulated XRD peak list of Li4Ti3V3Cr2O16 (the GGA+U geometry in Alexandria; CuKα).

Atomic structure:
```
Li4Ti3V3Cr2O16
1.0
5.1520 -2.9412 0.0000
5.1520 2.9412 0.0000
-0.0338 0.0000 9.6206
Li Ti V Cr O
4 3 3 2 16
Direct
0.0000 0.0000 0.0000 Li
0.0048 0.0048 0.5030 Li
0.3351 0.3351 0.6030 Li
0.6702 0.6702 0.1043 Li
0.1689 0.6634 0.2822 Ti
0.6634 0.1689 0.2822 Ti
0.8339 0.8339 0.7749 Ti
0.1722 0.1722 0.2877 V
0.3488 0.8219 0.7898 V
0.8219 0.3488 0.7898 V
0.3353 0.3353 0.0119 Cr
0.6673 0.6673 0.5124 Cr
0.0011 0.0011 0.6883 O
0.0425 0.4895 0.1583 O
0.1644 0.1644 0.8932 O
0.1708 0.6703 0.8932 O
0.3313 0.8348 0.3940 O
0.3464 0.3464 0.3962 O
0.4821 0.4821 0.1584 O
0.4895 0.0425 0.1583 O
0.5221 0.5221 0.6584 O
0.5241 0.9629 0.6582 O
0.6703 0.1708 0.8932 O
0.6804 0.6804 0.8995 O
0.8348 0.3313 0.3940 O
0.8381 0.8381 0.3945 O
0.9629 0.5241 0.6582 O
0.9976 0.9976 0.1855 O
```

Main lines, by intensity (2θ = 10–90°):
Position (°2θ), I/Imax
19.68, 1000
18.44, 798
45.39, 576
35.56, 547
19.55, 495
39.96, 422
62.64, 401
32.97, 389
36.39, 386
60.15, 313